V2NiSe4: theoretical X-ray diffraction stick pattern (λ = 1.5418 Å (Cu Kα)), based on a GGA-PBE-relaxed structure.

Structure:
a b c (Å): 6.183 3.585 11.910
angles (deg): 90.00 91.36 90.00
Space group C2/m (No. 12)
Inequivalent atoms, fractional coordinates:
1 V 0.011 0.000 0.248 [4 per cell]
2 Ni 0.000 0.000 0.000 [2 per cell]
3 Se 0.161 0.500 0.884 [4 per cell]
4 Se 0.184 0.500 0.367 [4 per cell]

Most intense lines, 10 to 90 degrees two-theta, by intensity:
d (Å), intensity, index
2.766, 100, 2 0 -2
2.737, 98, 1 1 2
1.786, 59, 3 1 0
2.160, 47, 1 1 -4
2.135, 44, 1 1 4
1.792, 31, 0 2 0
2.119, 27, 2 0 4
2.170, 26, 2 0 -4
2.717, 25, 2 0 2
1.488, 22, 0 0 8
1.505, 20, 2 2 -2
1.145, 19, 0 2 8